Structure and theoretical powder XRD pattern of W7O6F30 (a cell relaxed with PBE+U; Cu Kα (λ = 1.5418 Å)).

Principal peaks in the range 2θ from 15° to 90°, low angle first:
two_theta  Rel. int.
18.59  64
19.93  52
20.12  100
22.61  75
22.82  74
22.93  75
31.26  23
31.53  22
31.79  22
33.30  29
38.71  18
50.95  25

Structure:
a = 9.311 Å, b = 9.472 Å, c = 9.554 Å
α = 115.96°, β = 100.02°, γ = 99.74°
Positions (direct):
W 0.000 0.000 0.000
W 0.231 0.746 0.760
W 0.239 0.066 0.398
W 0.262 0.400 0.087
W 0.738 0.600 0.913
W 0.761 0.934 0.602
W 0.769 0.254 0.240
O 0.102 0.210 0.028
O 0.121 0.897 0.861
O 0.152 0.035 0.186
O 0.848 0.965 0.814
O 0.879 0.103 0.139
O 0.898 0.790 0.972
F 0.054 0.573 0.683
F 0.063 0.913 0.369
F 0.132 0.536 0.136
F 0.150 0.238 0.486
F 0.180 0.757 0.566
F 0.214 0.367 0.874
F 0.285 0.734 0.953
F 0.309 0.437 0.302
F 0.313 0.095 0.609
F 0.332 0.897 0.316
F 0.337 0.592 0.669
F 0.392 0.264 0.036
F 0.408 0.917 0.833
F 0.418 0.215 0.427
F 0.428 0.579 0.150
F 0.572 0.421 0.850
F 0.582 0.785 0.573
F 0.592 0.083 0.167
F 0.608 0.736 0.964
F 0.663 0.408 0.331
F 0.668 0.103 0.684
F 0.687 0.905 0.391
F 0.691 0.563 0.698
F 0.715 0.266 0.047
F 0.786 0.633 0.126
F 0.820 0.243 0.434
F 0.850 0.762 0.514
F 0.868 0.464 0.864
F 0.937 0.087 0.631
F 0.946 0.427 0.317